For Li2FeO3, DFT lattice parameters and positions (GGA+U) gives the calculated X-ray diffraction stick pattern in this record (copper Kα).
Intensities are scaled so that the largest is 100.

Structural model:
```
data_Li2FeO3
_cell_length_a 4.923
_cell_length_b 4.894
_cell_length_c 8.377
_cell_angle_alpha 90.00
_cell_angle_beta 90.00
_cell_angle_gamma 90.00
_symmetry_space_group_name_H-M 'P n n a'
_symmetry_Int_Tables_number 52
loop_
_symmetry_equiv_pos_as_xyz
'x,y,z'
'-x,-y,-z'
'-x+1/2,-y,z'
'x+1/2,y,-z'
'x,-y+1/2,-z+1/2'
'-x,y+1/2,z+1/2'
'-x+1/2,y+1/2,-z+1/2'
'x+1/2,-y+1/2,z+1/2'
loop_
_atom_site_label
_atom_site_type_symbol
_atom_site_fract_x
_atom_site_fract_y
_atom_site_fract_z
Li1 Li 0.250 0.000 0.076
Li2 Li 0.250 0.000 0.762
Fe1 Fe 0.250 0.000 0.412
O1 O 0.078 0.215 0.575
O2 O 0.099 0.250 0.250
```

Largest 12 diffraction maxima, sorted by position, 10° ≤ 2θ ≤ 90°:
- hkl 0 1 1, 2θ 21.00, I = 100
- hkl 0 0 2, 2θ 21.21, I = 10
- hkl 1 1 2, 2θ 33.53, I = 35
- hkl 2 0 0, 2θ 36.51, I = 7
- hkl 1 0 3, 2θ 37.01, I = 12
- hkl 2 1 0, 2θ 41.05, I = 8
- hkl 1 1 3, 2θ 41.51, I = 14
- hkl 2 1 1, 2θ 42.50, I = 14
- hkl 2 2 0, 2θ 52.75, I = 16
- hkl 1 2 3, 2θ 53.13, I = 32
- hkl 1 3 2, 2θ 64.11, I = 7
- hkl 3 0 3, 2θ 66.04, I = 11